1.
Computed powder diffraction line list
Compound: YPSN2
Radiation: Cu Ka
Structure: a PBE-relaxed structure
Peak positions follow from Bragg's law for the DFT cell and can differ from measured ones.

Structural model:
Cell lengths 3.7382, 3.7382, 4.5590 Å; angles 90.00, 90.00, 90.00 degrees
Space group P4/mmm (No. 123)
Unique sites:
Y1 0.0000 0.0000 0.0000
P1 0.5000 0.5000 0.5000
S1 0.5000 0.5000 0.0000
N1 0.0000 0.5000 0.5000

The 8 most intense peaks (10 to 90 degrees two-theta), in order of falling intensity:
2θ/deg, I_rel
30.9, 100
39.4, 92
33.9, 81
48.7, 54
39.5, 52
53.0, 45
64.5, 43
19.5, 41

---

2.
Computed powder diffraction line list
Compound: CdAg3
Radiation: Cu Ka
Structure: a PBE-relaxed structure
Peak positions follow from Bragg's law for the DFT cell and can differ from measured ones.

Structural model:
Cell lengths 5.9176, 8.2157, 3.0561 Å; angles 90.00, 90.00, 90.00 degrees
Space group Cmmm (No. 65)
Unique sites:
Cd1 0.0000 0.0000 0.0000
Ag1 0.0000 0.5000 0.0000
Ag2 0.2500 0.2500 0.5000

The 8 most intense peaks (10 to 90 degrees two-theta), in order of falling intensity:
2θ/deg, I_rel
36.7, 100
37.5, 94
42.5, 65
62.9, 38
44.1, 29
73.5, 24
75.0, 23
76.2, 11